Record 1
Computed powder diffractogram
Compound: Rh3Pb2S2
Radiation: Cu Kα, 1.54184 Å
Structure: a DFT-relaxed cell (GGA-PBE, the Materials Project)

Largest 10 diffraction maxima, most intense first, 2θ = 10–80°:
Position (°2θ)  I_rel
38.0  100
44.2  87
30.8  54
21.7  50
30.9  47
36.3  38
38.2  36
18.8  35
54.8  30
64.1  30

Structure:
Cell: 5.782 5.782 5.782 Å, 60.33 60.33 60.33°
Sites, in units of the cell vectors:
Rh1 0.000 0.500 0.500
Rh2 0.500 0.000 0.500
Rh3 0.500 0.500 0.000
Pb1 0.000 0.000 0.000
Pb2 0.500 0.500 0.500
S1 0.218 0.218 0.218
S2 0.782 0.782 0.782

=====

Record 2
Computed powder diffractogram
Compound: FeAsSe
Radiation: Cu Kα, 1.54184 Å
Structure: a DFT-relaxed cell (GGA-PBE, the Materials Project)

Largest 10 diffraction maxima, most intense first, 2θ = 10–80°:
Position (°2θ)  I_rel
35.5  100
36.1  59
36.3  57
54.6  45
48.6  36
56.0  32
32.8  32
32.6  30
48.3  28
50.1  18

Structure:
Cell: 5.944 5.867 5.983 Å, 90.00 113.18 90.00°
Sites, in units of the cell vectors:
Fe1 0.224 0.001 0.209
Fe2 0.224 0.499 0.709
Fe3 0.776 0.501 0.291
Fe4 0.776 0.999 0.791
As1 0.358 0.137 0.624
As2 0.358 0.363 0.124
As3 0.642 0.637 0.876
As4 0.642 0.863 0.376
Se1 0.156 0.634 0.323
Se2 0.156 0.866 0.823
Se3 0.844 0.134 0.177
Se4 0.844 0.366 0.677

=====

Record 3
Computed powder diffractogram
Compound: Sc2CuRh
Radiation: Cu Kα, 1.54184 Å
Structure: a DFT-relaxed cell (GGA-PBE, the Materials Project)

Largest 10 diffraction maxima, most intense first, 2θ = 10–80°:
Position (°2θ)  I_rel
39.2  100
71.1  31
56.7  16
27.5  13
64.1  5
23.7  5
48.5  4
46.4  2
62.3  1
76.1  1

Structure:
Cell: 6.496 6.496 6.496 Å, 90.00 90.00 90.00°
Sites, in units of the cell vectors:
Sc1 0.250 0.250 0.250
Sc2 0.250 0.250 0.750
Sc3 0.250 0.750 0.250
Sc4 0.250 0.750 0.750
Sc5 0.750 0.250 0.250
Sc6 0.750 0.250 0.750
Sc7 0.750 0.750 0.250
Sc8 0.750 0.750 0.750
Cu1 0.000 0.000 0.000
Cu2 0.000 0.500 0.500
Cu3 0.500 0.000 0.500
Cu4 0.500 0.500 0.000
Rh1 0.000 0.000 0.500
Rh2 0.000 0.500 0.000
Rh3 0.500 0.000 0.000
Rh4 0.500 0.500 0.500

=====

Record 4
Computed powder diffractogram
Compound: K12Ag4As8CSe20O
Radiation: Cu Kα, 1.54184 Å
Structure: a DFT-relaxed cell (GGA-PBE, the Materials Project)

Largest 10 diffraction maxima, most intense first, 2θ = 10–80°:
Position (°2θ)  I_rel
10.2  100
26.9  54
14.9  51
32.8  39
33.9  39
33.4  29
28.1  28
29.9  27
17.9  26
30.0  25

Structure:
Cell: 9.402 11.872 13.208 Å, 90.19 106.74 90.19°
Sites, in units of the cell vectors:
K1 0.000 0.000 0.000
K2 0.002 0.776 0.538
K3 0.274 0.274 0.431
K4 0.279 0.513 0.944
K5 0.285 0.898 0.342
K6 0.295 0.893 0.840
K7 0.586 0.947 0.154
K8 0.603 0.853 0.653
K9 0.668 0.349 0.317
K10 0.679 0.435 0.810
K11 0.978 0.407 0.115
K12 0.990 0.401 0.633
Ag1 0.468 0.642 0.202
Ag2 0.471 0.157 0.697
Ag3 0.806 0.142 0.770
Ag4 0.806 0.658 0.276
As1 0.036 0.703 0.116
As2 0.057 0.092 0.629
As3 0.220 0.594 0.346
As4 0.231 0.204 0.852
As5 0.628 0.577 0.483
As6 0.635 0.718 0.986
As7 0.642 0.229 0.988
As8 0.646 0.074 0.491
C1 0.050 0.190 0.213
Se1 0.007 0.504 0.383
Se2 0.016 0.292 0.886
Se3 0.252 0.789 0.083
Se4 0.268 0.002 0.590
Se5 0.324 0.461 0.250
Se6 0.331 0.335 0.753
Se7 0.391 0.583 0.528
Se8 0.417 0.215 0.036
Se9 0.482 0.669 0.804
Se10 0.486 0.116 0.320
Se11 0.626 0.752 0.386
Se12 0.638 0.053 0.892
Se13 0.641 0.547 0.086
Se14 0.652 0.251 0.587
Se15 0.790 0.619 0.654
Se16 0.861 0.715 0.930
Se17 0.872 0.141 0.188
Se18 0.882 0.079 0.446
Se19 0.937 0.837 0.211
Se20 0.949 0.958 0.722
O1 0.298 0.675 0.812

=====

Record 5
Computed powder diffractogram
Compound: CuGe3
Radiation: Cu Kα, 1.54184 Å
Structure: a DFT-relaxed cell (GGA-PBE, the Materials Project)

Largest 10 diffraction maxima, most intense first, 2θ = 10–80°:
Position (°2θ)  I_rel
38.5  100
41.6  98
31.1  36
58.0  29
77.7  28
73.8  28
75.8  16
62.4  9
19.9  8
52.8  8

Structure:
Cell: 4.345 4.345 8.935 Å, 90.00 90.00 120.00°
Sites, in units of the cell vectors:
Cu1 0.333 0.667 0.250
Cu2 0.667 0.333 0.750
Ge1 0.000 0.000 0.250
Ge2 0.000 0.000 0.750
Ge3 0.333 0.667 0.576
Ge4 0.333 0.667 0.924
Ge5 0.667 0.333 0.076
Ge6 0.667 0.333 0.424

=====

Record 6
Computed powder diffractogram
Compound: YZr
Radiation: Cu Kα, 1.54184 Å
Structure: a DFT-relaxed cell (GGA-PBE, the Materials Project)

Largest 10 diffraction maxima, most intense first, 2θ = 10–80°:
Position (°2θ)  I_rel
34.5  100
33.2  25
30.1  24
64.4  21
60.1  19
53.5  18
45.4  15
65.3  15
72.8  4
77.7  3

Structure:
Cell: 3.424 3.424 5.403 Å, 90.00 90.00 120.00°
Sites, in units of the cell vectors:
Y1 0.000 0.000 0.000
Zr1 0.667 0.333 0.500

=====

Record 7
Computed powder diffractogram
Compound: Dy2TlHg
Radiation: Cu Kα, 1.54184 Å
Structure: a DFT-relaxed cell (GGA-PBE, the Materials Project)

Largest 6 diffraction maxima, most intense first, 2θ = 10–80°:
Position (°2θ)  I_rel
33.7  100
60.2  38
48.4  18
70.8  12
23.6  1
54.5  1

Structure:
Cell: 7.528 7.528 7.528 Å, 90.00 90.00 90.00°
Sites, in units of the cell vectors:
Dy1 0.250 0.250 0.250
Dy2 0.250 0.250 0.750
Dy3 0.250 0.750 0.250
Dy4 0.250 0.750 0.750
Dy5 0.750 0.250 0.250
Dy6 0.750 0.250 0.750
Dy7 0.750 0.750 0.250
Dy8 0.750 0.750 0.750
Tl1 0.000 0.000 0.000
Tl2 0.000 0.500 0.500
Tl3 0.500 0.000 0.500
Tl4 0.500 0.500 0.000
Hg1 0.000 0.000 0.500
Hg2 0.000 0.500 0.000
Hg3 0.500 0.000 0.000
Hg4 0.500 0.500 0.500

=====

Record 8
Computed powder diffractogram
Compound: TaTiB4
Radiation: Cu Kα, 1.54184 Å
Structure: a DFT-relaxed cell (GGA-PBE, the Materials Project)

Largest 10 diffraction maxima, most intense first, 2θ = 10–80°:
Position (°2θ)  I_rel
43.9  100
13.6  83
33.7  79
36.5  51
27.3  38
67.3  22
60.3  21
67.4  19
77.5  18
54.5  16

Structure:
Cell: 3.070 3.070 6.534 Å, 90.00 90.00 120.00°
Sites, in units of the cell vectors:
Ta1 0.000 0.000 0.000
Ti1 0.000 0.000 0.500
B1 0.333 0.667 0.257
B2 0.333 0.667 0.743
B3 0.667 0.333 0.257
B4 0.667 0.333 0.743